[1]
Diffraction record for PuTa2H8. The XRD peak list is simulated, not measured: it uses a cell relaxed with GGA-PBE and CuKα.
Intensities are scaled so that the largest is 100.

Structural model:
Unit cell a=4.966 b=8.490 c=4.828 alpha=90.00 beta=92.19 gamma=90.00
Space group Cm (No. 8)
Symmetry-distinct sites (fractional):
1 Pu 0.000 0.000 0.000 (multiplicity 2)
2 Ta 0.059 0.333 0.518 (multiplicity 4)
3 H 0.106 0.323 0.897 (multiplicity 4)
4 H 0.114 0.500 0.262 (multiplicity 2)
5 H 0.249 0.198 0.274 (multiplicity 4)
6 H 0.352 0.000 0.670 (multiplicity 2)
7 H 0.428 0.369 0.604 (multiplicity 4)

Principal peaks in the range 5 to 70 degrees two-theta, by angle:
2θ (°)	I/Imax	index
27.38	100	1 1 -1
28.00	97	0 2 1
28.31	88	1 1 1
36.20	45	2 0 0
36.55	96	1 3 0
37.28	46	0 0 2
45.77	24	2 2 -1
46.76	24	0 4 1
52.65	36	1 3 -2
53.74	31	1 3 2



[2]
Diffraction record for PuTaH4. The XRD peak list is simulated, not measured: it uses a cell relaxed with GGA-PBE and CuKα.
Intensities are scaled so that the largest is 100.

Structural model:
Unit cell a=5.069 b=5.204 c=8.444 alpha=90.00 beta=90.00 gamma=90.00
Space group Imma (No. 74)
Symmetry-distinct sites (fractional):
1 Pu 0.000 0.250 0.140 (multiplicity 4)
2 Ta 0.000 0.250 0.612 (multiplicity 4)
3 H 0.225 0.000 0.500 (multiplicity 8)
4 H 0.250 0.058 0.750 (multiplicity 8)

Principal peaks in the range 5 to 70 degrees two-theta, by angle:
2θ (°)	I/Imax	index
32.52	100	1 1 2
34.47	22	0 2 0
35.42	20	2 0 0
42.84	11	0 0 4
50.25	16	2 2 0
56.10	10	0 2 4
56.75	10	2 0 4
60.52	17	1 3 2
61.76	16	3 1 2
68.12	11	2 2 4



[3]
Diffraction record for PuTcH4. The XRD peak list is simulated, not measured: it uses a cell relaxed with GGA-PBE and CuKα.
Intensities are scaled so that the largest is 100.

Structural model:
Unit cell a=4.850 b=4.850 c=8.972 alpha=90.00 beta=90.00 gamma=90.00
Space group I4_1/amd (No. 141, origin choice 2)
Symmetry-distinct sites (fractional):
1 Pu 0.000 0.250 0.375 (multiplicity 4)
2 Tc 0.000 0.250 0.875 (multiplicity 4)
3 H 0.189 0.000 0.000 (multiplicity 16)

Principal peaks in the range 5 to 70 degrees two-theta, by angle:
2θ (°)	I/Imax	index
20.82	22	1 0 1
32.87	100	1 1 2
37.07	35	2 0 0
40.20	14	0 0 4
42.90	8	2 1 1
53.44	13	2 2 0
55.83	23	2 0 4
64.18	30	3 1 2
68.45	12	1 1 6
68.93	12	2 2 4



[4]
Diffraction record for Pu2TcH8. The XRD peak list is simulated, not measured: it uses a cell relaxed with GGA-PBE and CuKα.
Intensities are scaled so that the largest is 100.

Structural model:
Unit cell a=3.582 b=4.602 c=11.180 alpha=90.00 beta=90.00 gamma=90.00
Space group Immm (No. 71)
Symmetry-distinct sites (fractional):
1 Pu 0.000 0.000 0.165 (multiplicity 4)
2 Tc 0.000 0.000 0.500 (multiplicity 2)
3 H 0.000 0.220 0.369 (multiplicity 8)
4 H 0.000 0.303 0.000 (multiplicity 4)
5 H 0.000 0.500 0.224 (multiplicity 4)

Principal peaks in the range 5 to 70 degrees two-theta, by angle:
2θ (°)	I/Imax	index
20.87	14	0 1 1
30.87	100	0 1 3
31.66	93	1 1 0
34.74	72	1 0 3
39.15	26	0 2 0
48.88	14	0 0 6
51.00	13	2 0 0
53.33	45	1 2 3
59.41	32	1 1 6
60.81	30	2 1 3



[5]
Diffraction record for Pu2TcH5. The XRD peak list is simulated, not measured: it uses a cell relaxed with GGA-PBE and CuKα.
Intensities are scaled so that the largest is 100.

Structural model:
Unit cell a=4.979 b=4.979 c=7.224 alpha=90.00 beta=90.00 gamma=90.00
Space group I4mm (No. 107)
Symmetry-distinct sites (fractional):
1 Pu 0.000 0.500 0.000 (multiplicity 4)
2 Tc 0.000 0.000 0.244 (multiplicity 2)
3 H 0.000 0.000 0.496 (multiplicity 2)
4 H 0.245 0.245 0.744 (multiplicity 8)

Principal peaks in the range 5 to 70 degrees two-theta, by angle:
2θ (°)	I/Imax	index
21.68	11	1 0 1
24.65	25	0 0 2
25.30	49	1 1 0
35.61	100	1 1 2
36.08	48	2 0 0
44.18	24	2 0 2
51.94	18	2 2 0
57.34	11	1 1 4
63.65	19	2 0 4
64.57	37	3 1 2



[6]
Diffraction record for Pu4Te5H2. The XRD peak list is simulated, not measured: it uses a cell relaxed with GGA-PBE and CuKα.
Intensities are scaled so that the largest is 100.

Structural model:
Unit cell a=20.340 b=4.033 c=7.752 alpha=90.00 beta=112.33 gamma=90.00
Space group C2/m (No. 12)
Symmetry-distinct sites (fractional):
1 Pu 0.000 0.000 0.192 (multiplicity 4)
2 Pu 0.203 0.500 0.203 (multiplicity 4)
3 Te 0.000 0.500 0.500 (multiplicity 2)
4 Te 0.159 0.000 0.434 (multiplicity 4)
5 Te 0.159 0.000 0.885 (multiplicity 4)
6 H 0.059 0.500 0.059 (multiplicity 4)

Principal peaks in the range 5 to 70 degrees two-theta, by angle:
2θ (°)	I/Imax	index
22.55	33	1 1 0
24.86	27	4 0 -2
26.32	28	6 0 -1
26.66	100	3 1 -1
28.46	57	6 0 0
32.39	91	3 1 -2
37.65	51	0 0 3
40.20	78	3 1 2
40.32	43	7 1 0
44.95	33	0 2 0



[7]
Diffraction record for PuTeH2. The XRD peak list is simulated, not measured: it uses a cell relaxed with GGA-PBE and CuKα.
Intensities are scaled so that the largest is 100.

Structural model:
Unit cell a=4.048 b=4.457 c=7.518 alpha=90.00 beta=90.00 gamma=90.00
Space group Amm2 (No. 38)
Symmetry-distinct sites (fractional):
1 Pu 0.000 0.000 0.000 (multiplicity 2)
2 Te 0.500 0.000 0.660 (multiplicity 2)
3 H 0.000 0.093 0.300 (multiplicity 4)

Principal peaks in the range 5 to 70 degrees two-theta, by angle:
2θ (°)	I/Imax	index
23.20	42	0 1 1
23.67	23	0 0 2
32.16	100	1 1 1
32.51	45	1 0 2
40.48	17	0 2 0
41.33	32	0 1 3
44.78	13	2 0 0
52.85	24	1 2 2
53.78	13	1 0 4
62.57	19	2 1 3



[8]
Diffraction record for PuTh2H8. The XRD peak list is simulated, not measured: it uses a cell relaxed with GGA-PBE and CuKα.
Intensities are scaled so that the largest is 100.

Structural model:
Unit cell a=3.606 b=6.015 c=10.759 alpha=90.00 beta=90.00 gamma=90.00
Space group Immm (No. 71)
Symmetry-distinct sites (fractional):
1 Pu 0.000 0.000 0.000 (multiplicity 2)
2 Th 0.000 0.000 0.331 (multiplicity 4)
3 H 0.000 0.243 0.500 (multiplicity 4)
4 H 0.000 0.254 0.162 (multiplicity 8)
5 H 0.000 0.500 0.334 (multiplicity 4)

Principal peaks in the range 5 to 70 degrees two-theta, by angle:
2θ (°)	I/Imax	index
28.87	100	1 1 0
28.99	99	0 1 3
29.71	46	0 2 0
35.30	59	1 0 3
46.78	57	1 2 3
52.24	40	1 3 0
59.39	28	2 1 3
59.60	27	1 1 6
59.80	14	2 2 0
60.07	13	0 2 6



[9]
Diffraction record for Pu3ThH8. The XRD peak list is simulated, not measured: it uses a cell relaxed with GGA-PBE and CuKα.
Intensities are scaled so that the largest is 100.

Structural model:
Unit cell a=5.339 b=5.339 c=5.339 alpha=90.00 beta=90.00 gamma=90.00
Space group Pm-3m (No. 221)
Symmetry-distinct sites (fractional):
1 Pu 0.000 0.000 0.500 (multiplicity 3)
2 Th 0.500 0.500 0.500 (multiplicity 1)
3 H 0.248 0.248 0.248 (multiplicity 8)

Principal peaks in the range 5 to 70 degrees two-theta, by angle:
2θ (°)	I/Imax	index
28.96	100	1 1 1
33.57	50	2 0 0
48.21	39	2 2 0
57.22	47	3 1 1
60.02	13	2 2 2



[10]
Diffraction record for Pu2VH5. The XRD peak list is simulated, not measured: it uses a cell relaxed with GGA-PBE and CuKα.
Intensities are scaled so that the largest is 100.

Structural model:
Unit cell a=4.962 b=4.962 c=7.025 alpha=90.00 beta=90.00 gamma=90.00
Space group I4mm (No. 107)
Symmetry-distinct sites (fractional):
1 Pu 0.000 0.500 0.000 (multiplicity 4)
2 V 0.000 0.000 0.241 (multiplicity 2)
3 H 0.000 0.000 0.498 (multiplicity 2)
4 H 0.242 0.242 0.747 (multiplicity 8)

Principal peaks in the range 5 to 70 degrees two-theta, by angle:
2θ (°)	I/Imax	index
21.93	2	1 0 1
25.37	79	1 1 0
36.19	100	1 1 2
42.72	1	2 1 1
44.72	26	2 0 2
52.11	18	2 2 0
58.83	34	1 1 4
65.09	37	3 1 2



[11]
Diffraction record for YPuH. The XRD peak list is simulated, not measured: it uses a cell relaxed with GGA-PBE and CuKα.
Intensities are scaled so that the largest is 100.

Structural model:
Unit cell a=3.737 b=5.385 c=10.934 alpha=90.00 beta=90.00 gamma=90.00
Space group Imma (No. 74)
Symmetry-distinct sites (fractional):
1 Y 0.000 0.250 0.105 (multiplicity 4)
2 Pu 0.000 0.250 0.688 (multiplicity 4)
3 H 0.000 0.250 0.303 (multiplicity 4)

Principal peaks in the range 5 to 70 degrees two-theta, by angle:
2θ (°)	I/Imax	index
16.21	48	0 0 2
18.36	83	0 1 1
29.60	34	0 1 3
33.27	43	0 2 0
33.48	100	1 1 2
34.37	24	1 0 3
44.37	27	1 1 4
48.22	28	1 0 5
59.59	19	1 3 2
59.84	29	1 2 5



[12]
Diffraction record for YPu2H8. The XRD peak list is simulated, not measured: it uses a cell relaxed with GGA-PBE and CuKα.
Intensities are scaled so that the largest is 100.

Structural model:
Unit cell a=3.766 b=5.039 c=11.279 alpha=90.00 beta=90.00 gamma=90.00
Space group Immm (No. 71)
Symmetry-distinct sites (fractional):
1 Y 0.000 0.000 0.000 (multiplicity 2)
2 Pu 0.000 0.000 0.320 (multiplicity 4)
3 H 0.000 0.232 0.500 (multiplicity 4)
4 H 0.000 0.265 0.153 (multiplicity 8)
5 H 0.000 0.500 0.323 (multiplicity 4)

Principal peaks in the range 5 to 70 degrees two-theta, by angle:
2θ (°)	I/Imax	index
15.71	15	0 0 2
29.63	100	1 1 0
33.69	44	1 0 3
35.63	16	0 2 0
43.98	6	0 1 5
48.38	13	2 0 0
49.85	25	1 2 3
57.76	29	2 1 3
60.34	18	1 3 0
61.51	12	2 2 0



[13]
Diffraction record for PuZr2H8. The XRD peak list is simulated, not measured: it uses a cell relaxed with GGA-PBE and CuKα.
Intensities are scaled so that the largest is 100.

Structural model:
Unit cell a=3.248 b=5.676 c=9.876 alpha=90.00 beta=90.00 gamma=90.00
Space group Immm (No. 71)
Symmetry-distinct sites (fractional):
1 Pu 0.000 0.000 0.000 (multiplicity 2)
2 Zr 0.000 0.000 0.326 (multiplicity 4)
3 H 0.000 0.211 0.500 (multiplicity 4)
4 H 0.000 0.270 0.164 (multiplicity 8)
5 H 0.000 0.500 0.329 (multiplicity 4)

Principal peaks in the range 5 to 70 degrees two-theta, by angle:
2θ (°)	I/Imax	index
18.01	61	0 1 1
31.41	100	0 1 3
31.52	49	0 2 0
31.74	98	1 1 0
38.95	55	1 0 3
50.94	54	1 2 3
56.06	20	0 3 3
56.27	20	1 3 0
65.69	24	1 1 6
66.27	36	2 2 0



[14]
Diffraction record for Pu3ZrH8. The XRD peak list is simulated, not measured: it uses a cell relaxed with GGA-PBE and CuKα.
Intensities are scaled so that the largest is 100.

Structural model:
Unit cell a=5.152 b=5.152 c=5.152 alpha=90.00 beta=90.00 gamma=90.00
Space group Pm-3m (No. 221)
Symmetry-distinct sites (fractional):
1 Pu 0.000 0.000 0.500 (multiplicity 3)
2 Zr 0.500 0.500 0.500 (multiplicity 1)
3 H 0.266 0.266 0.266 (multiplicity 8)

Principal peaks in the range 5 to 70 degrees two-theta, by angle:
2θ (°)	I/Imax	index
17.21	8	1 0 0
24.44	8	1 1 0
30.04	100	1 1 1
34.83	50	2 0 0
39.10	5	2 1 0
43.01	4	2 1 1
50.08	38	2 2 0
53.35	3	3 0 0
59.51	45	3 1 1
62.45	13	2 2 2